Record 1
Diffraction record for CeTiGe. The powder X-ray diffraction pattern is theoretical, not measured: it uses a crystal structure in the Materials Project, relaxed with PBE and Cu Kα (λ = 1.5418 Å).
No peak broadening, texture or thermal motion is included.

Most intense lines, 10 to 90 degrees two-theta, in order of rising 2θ:
- 27.66°, intensity 65, hkl 1 0 3
- 31.02°, intensity 76, hkl 1 1 0
- 33.07°, intensity 67, hkl 1 1 2
- 33.99°, intensity 26, hkl 0 0 6
- 35.92°, intensity 100, hkl 1 0 5
- 38.65°, intensity 80, hkl 1 1 4
- 44.45°, intensity 69, hkl 2 0 0
- 57.07°, intensity 59, hkl 1 0 9
- 58.42°, intensity 48, hkl 2 1 5
- 75.07°, intensity 42, hkl 2 1 9

Atomic structure:
```
data_CeTiGe
_chemical_formula_sum 'Ce4 Ti4 Ge4'
_cell_length_a 4.0767
_cell_length_b 4.0767
_cell_length_c 15.8240
_cell_angle_alpha 90.00
_cell_angle_beta 90.00
_cell_angle_gamma 90.00
_space_group_name_H-M_alt 'I 4/m m m'
_space_group_IT_number 139
_space_group_name_Hall '-I 4 2'
loop_
_atom_site_label
_atom_site_fract_x
_atom_site_fract_y
_atom_site_fract_z
Ce1 0.0000 0.0000 0.1751
Ti1 0.0000 0.5000 0.0000
Ge1 0.0000 0.0000 0.3840
```

Record 2
Diffraction record for CeTiGe. The powder X-ray diffraction pattern is theoretical, not measured: it uses a crystal structure in the Materials Project, relaxed with PBE and Cu Kα (λ = 1.5418 Å).
No peak broadening, texture or thermal motion is included.

Most intense lines, 10 to 90 degrees two-theta, in order of rising 2θ:
- 31.13°, intensity 63, hkl 1 1 0
- 31.71°, intensity 100, hkl 1 0 2
- 33.21°, intensity 58, hkl 1 1 1
- 34.29°, intensity 19, hkl 0 0 3
- 38.86°, intensity 60, hkl 1 1 2
- 41.05°, intensity 33, hkl 1 0 3
- 44.61°, intensity 57, hkl 2 0 0
- 55.76°, intensity 40, hkl 2 1 2
- 63.57°, intensity 23, hkl 1 0 5
- 80.96°, intensity 23, hkl 2 1 5

Atomic structure:
```
data_CeTiGe
_chemical_formula_sum 'Ce2 Ti2 Ge2'
_cell_length_a 4.0624
_cell_length_b 4.0624
_cell_length_c 7.8451
_cell_angle_alpha 90.00
_cell_angle_beta 90.00
_cell_angle_gamma 90.00
_space_group_name_H-M_alt 'P 4/n m m'
_space_group_IT_number 129
loop_
_space_group_symop_operation_xyz
'x,y,z'
'-x,-y,-z'
'-y+1/2,x,z'
'y+1/2,-x,-z'
'-x+1/2,-y+1/2,z'
'x+1/2,y+1/2,-z'
'y,-x+1/2,z'
'-y,x+1/2,-z'
'x+1/2,-y,-z'
'-x+1/2,y,z'
'-y,-x,-z'
'y,x,z'
'-x,y+1/2,-z'
'x,-y+1/2,z'
'y+1/2,x+1/2,-z'
'-y+1/2,-x+1/2,z'
loop_
_atom_site_label
_atom_site_fract_x
_atom_site_fract_y
_atom_site_fract_z
Ce1 0.2500 0.2500 0.1455
Ti1 0.2500 0.7500 0.5000
Ge1 0.2500 0.2500 0.7309
```

Record 3
Diffraction record for Ce2Zn6Ge3. The powder X-ray diffraction pattern is theoretical, not measured: it uses a crystal structure in the Materials Project, relaxed with PBE and Cu Kα (λ = 1.5418 Å).
No peak broadening, texture or thermal motion is included.

Most intense lines, 10 to 90 degrees two-theta, in order of rising 2θ:
- 31.97°, intensity 100, hkl 1 1 1
- 34.77°, intensity 16, hkl 2 0 1
- 35.73°, intensity 25, hkl 2 1 0
- 40.71°, intensity 30, hkl 3 0 0
- 42.20°, intensity 59, hkl 2 1 1
- 44.29°, intensity 25, hkl 0 0 2
- 49.42°, intensity 15, hkl 3 1 0
- 52.68°, intensity 13, hkl 2 2 1
- 61.72°, intensity 17, hkl 3 0 2
- 68.63°, intensity 19, hkl 4 1 1

Atomic structure:
```
data_Ce2Zn6Ge3
_chemical_formula_sum 'Ce2 Zn6 Ge3'
_cell_length_a 7.6776
_cell_length_b 7.6776
_cell_length_c 4.0904
_cell_angle_alpha 90.00
_cell_angle_beta 90.00
_cell_angle_gamma 120.00
_space_group_name_H-M_alt 'P -6 2 m'
_space_group_IT_number 189
_space_group_name_Hall 'P -6 -2'
loop_
_atom_site_label
_atom_site_fract_x
_atom_site_fract_y
_atom_site_fract_z
Ce1 0.3333 0.6667 0.0000
Zn1 0.0000 0.1904 0.0000
Zn2 0.0000 0.7187 0.5000
Ge1 0.0000 0.3887 0.5000
```

Record 4
Diffraction record for Ce4H11. The powder X-ray diffraction pattern is theoretical, not measured: it uses a crystal structure in the Materials Project, relaxed with PBE and Cu Kα (λ = 1.5418 Å).
No peak broadening, texture or thermal motion is included.

Most intense lines, 10 to 90 degrees two-theta, in order of rising 2θ:
- 28.46°, intensity 100, hkl 1 1 2
- 32.87°, intensity 34, hkl 2 0 0
- 33.20°, intensity 16, hkl 0 0 4
- 47.17°, intensity 13, hkl 2 2 0
- 47.42°, intensity 26, hkl 2 0 4
- 56.02°, intensity 30, hkl 3 1 2
- 56.45°, intensity 14, hkl 1 1 6
- 58.90°, intensity 13, hkl 2 2 4
- 76.56°, intensity 11, hkl 3 1 6
- 87.93°, intensity 9, hkl 4 2 4

Atomic structure:
```
data_Ce4H11
_chemical_formula_sum 'Ce8 H22'
_cell_length_a 5.4493
_cell_length_b 5.4493
_cell_length_c 10.7937
_cell_angle_alpha 90.00
_cell_angle_beta 90.00
_cell_angle_gamma 90.00
_space_group_name_H-M_alt 'I 4/m m m'
_space_group_IT_number 139
_space_group_name_Hall '-I 4 2'
loop_
_atom_site_label
_atom_site_fract_x
_atom_site_fract_y
_atom_site_fract_z
Ce1 0.0000 0.0000 0.2412
Ce2 0.0000 0.5000 0.0000
H1 0.0000 0.0000 0.0000
H2 0.0000 0.5000 0.2500
H3 0.2376 0.2376 0.3794
```

Record 5
Diffraction record for Ce2H5. The powder X-ray diffraction pattern is theoretical, not measured: it uses a crystal structure in the Materials Project, relaxed with PBE and Cu Kα (λ = 1.5418 Å).
No peak broadening, texture or thermal motion is included.

Most intense lines, 10 to 90 degrees two-theta, in order of rising 2θ:
- 28.35°, intensity 100, hkl 1 1 2
- 32.59°, intensity 17, hkl 0 0 4
- 32.98°, intensity 33, hkl 2 0 0
- 47.05°, intensity 26, hkl 2 0 4
- 47.33°, intensity 13, hkl 2 2 0
- 55.59°, intensity 14, hkl 1 1 6
- 56.09°, intensity 30, hkl 3 1 2
- 58.65°, intensity 13, hkl 2 2 4
- 75.94°, intensity 11, hkl 3 1 6
- 87.88°, intensity 9, hkl 4 2 4

Atomic structure:
```
data_Ce2H5
_chemical_formula_sum 'Ce8 H20'
_cell_length_a 5.4325
_cell_length_b 5.4325
_cell_length_c 10.9895
_cell_angle_alpha 90.00
_cell_angle_beta 90.00
_cell_angle_gamma 90.00
_space_group_name_H-M_alt 'I 41/a m d'
_space_group_IT_number 141
loop_
_space_group_symop_operation_xyz
'x,y,z'
'-x,-y,-z'
'-y+1/4,x+3/4,z+1/4'
'y+1/4,-x+3/4,-z+1/4'
'-x+1/2,-y,z+1/2'
'x+1/2,y,-z+1/2'
'y+1/4,-x+1/4,z+3/4'
'-y+1/4,x+1/4,-z+3/4'
'x,-y,-z'
'-x,y,z'
'-y+1/4,-x+1/4,-z+3/4'
'y+1/4,x+1/4,z+3/4'
'-x+1/2,y,-z+1/2'
'x+1/2,-y,z+1/2'
'y+1/4,x+3/4,-z+1/4'
'-y+1/4,-x+3/4,z+1/4'
'x+1/2,y+1/2,z+1/2'
'-x+1/2,-y+1/2,-z+1/2'
'-y+3/4,x+1/4,z+3/4'
'y+3/4,-x+1/4,-z+3/4'
'-x,-y+1/2,z'
'x,y+1/2,-z'
'y+3/4,-x+3/4,z+1/4'
'-y+3/4,x+3/4,-z+1/4'
'x+1/2,-y+1/2,-z+1/2'
'-x+1/2,y+1/2,z+1/2'
'-y+3/4,-x+3/4,-z+1/4'
'y+3/4,x+3/4,z+1/4'
'-x,y+1/2,-z'
'x,-y+1/2,z'
'y+3/4,x+1/4,-z+3/4'
'-y+3/4,-x+1/4,z+3/4'
loop_
_atom_site_label
_atom_site_fract_x
_atom_site_fract_y
_atom_site_fract_z
Ce1 0.0000 0.2500 0.1185
H1 0.0000 0.2500 0.8750
H2 0.2298 0.0000 0.5000
```

Record 6
Diffraction record for KCeH2S2O9. The powder X-ray diffraction pattern is theoretical, not measured: it uses a crystal structure in the Materials Project, relaxed with PBE and Cu Kα (λ = 1.5418 Å).
No peak broadening, texture or thermal motion is included.

Most intense lines, 10 to 90 degrees two-theta, in order of rising 2θ:
- 13.93°, intensity 89, hkl 0 1 1
- 14.13°, intensity 100, hkl 1 1 0
- 20.25°, intensity 23, hkl 0 2 0
- 26.41°, intensity 70, hkl 1 2 1
- 27.58°, intensity 53, hkl 1 1 2
- 28.58°, intensity 72, hkl 3 1 -2
- 32.12°, intensity 30, hkl 0 3 1
- 34.11°, intensity 22, hkl 2 0 -4
- 40.45°, intensity 25, hkl 4 0 -4
- 48.34°, intensity 25, hkl 4 3 -1

Atomic structure:
```
data_KCeH2S2O9
_chemical_formula_sum 'K4 Ce4 H8 S8 O36'
_cell_length_a 10.2070
_cell_length_b 8.7697
_cell_length_c 10.5229
_cell_angle_alpha 90.00
_cell_angle_beta 118.66
_cell_angle_gamma 90.00
_space_group_name_H-M_alt 'P 1 21/c 1'
_space_group_IT_number 14
_space_group_name_Hall '-P 2ybc'
loop_
_atom_site_label
_atom_site_fract_x
_atom_site_fract_y
_atom_site_fract_z
K1 0.2158 0.1869 0.1958
Ce1 0.2645 0.6607 0.0329
H1 0.2767 0.5155 0.4311
H2 0.3985 0.0159 0.0918
S1 0.0481 0.6299 0.1759
S2 0.4819 0.6838 0.8896
O1 0.0467 0.7408 0.0668
O2 0.0680 0.7100 0.3083
O3 0.0962 0.0471 0.3856
O4 0.1769 0.5245 0.2113
O5 0.3039 0.5386 0.5324
O6 0.3322 0.6093 0.8329
O7 0.4058 0.0767 0.6102
O8 0.4707 0.6853 0.2931
O9 0.4759 0.2395 0.4625
```